Computed X-ray powder pattern of VBPb4O8 for copper Kα, from a structure optimized by DFT (PBE+U).
Lines closer than 0.1° are merged.

Crystal structure
abc: 10.6192 7.3240 13.1139
angles: 90.00 112.81 90.00
Space group P2_1/c (No. 14)
Unique sites:
V 0.1025 0.2446 0.3982 x4
B 0.4654 0.7414 0.1434 x4
Pb 0.1490 0.7284 0.4361 x4
Pb 0.2380 0.5133 0.7346 x4
Pb 0.2450 0.0039 0.7023 x4
Pb 0.4558 0.1847 0.0778 x4
O 0.0532 0.6782 0.0954 x4
O 0.0719 0.1503 0.7726 x4
O 0.1871 0.0991 0.0033 x4
O 0.2129 0.0578 0.4139 x4
O 0.2984 0.7154 0.3360 x4
O 0.3251 0.7505 0.1173 x4
O 0.4614 0.1041 0.2861 x4
O 0.4729 0.1271 0.8997 x4

Principal peaks in the range 5 to 70 degrees two-theta, in order of falling intensity:
2θ/deg	I/Imax
28.5	100.0
30.6	84.4
28.0	74.1
27.5	70.6
30.5	59.4
27.3	46.4
44.5	31.0
31.7	30.5
18.1	30.3
19.0	28.9